Starting from a cell relaxed with PBE, the powder XRD pattern of Li3AsCl6 was calculated for Cu Kα (λ = 1.5418 Å).
Peak positions follow from Bragg's law for the DFT cell and can differ from measured ones.

Structure:
a = 7.6435 Å, b = 7.6435 Å, c = 7.6435 Å
α = 91.39°, β = 91.39°, γ = 91.39°
Atoms (fractional coordinates):
Li1 0.0698 0.7384 0.5834
Li2 0.2616 0.4166 0.9302
Li3 0.4166 0.9302 0.2616
Li4 0.5834 0.0698 0.7384
Li5 0.7384 0.5834 0.0698
Li6 0.9302 0.2616 0.4166
As1 0.0000 0.0000 0.0000
As2 0.5000 0.5000 0.5000
Cl1 0.0501 0.6904 0.9018
Cl2 0.0982 0.9499 0.3096
Cl3 0.1920 0.4125 0.5785
Cl4 0.3096 0.0982 0.9499
Cl5 0.4125 0.5785 0.1920
Cl6 0.4215 0.8080 0.5875
Cl7 0.5785 0.1920 0.4125
Cl8 0.5875 0.4215 0.8080
Cl9 0.6904 0.9018 0.0501
Cl10 0.8080 0.5875 0.4215
Cl11 0.9018 0.0501 0.6904
Cl12 0.9499 0.3096 0.0982

Main lines, by angle (2θ = 10–90°):
2θ (°)  I (rel.)
16.20  60
16.61  75
28.50  100
36.93  53
37.51  74
43.79  46